[1]
The following is a computed X-ray powder pattern of K2Rb7Hg2. It was derived from a DFT-relaxed cell (GGA-PBE, Alexandria), using Cu Kα (weighted mean of Kα1 and Kα2).
Neutral-atom scattering factors, no anomalous dispersion.

Top 8 peaks for 10° ≤ 2θ ≤ 80°, by intensity:
| 2theta | d [Å] | I_rel |
| --- | --- | --- |
| 12.09 | 7.321 | 100 |
| 29.39 | 3.039 | 96 |
| 21.31 | 4.169 | 84 |
| 23.32 | 3.815 | 80 |
| 10.61 | 8.338 | 66 |
| 21.82 | 4.074 | 60 |
| 18.83 | 4.713 | 60 |
| 28.59 | 3.123 | 55 |

Crystal structure
```
data_K2Rb7Hg2
_chemical_formula_sum 'K4 Rb14 Hg4'
_cell_length_a 11.207
_cell_length_b 16.676
_cell_length_c 9.704
_cell_angle_alpha 90.00
_cell_angle_beta 103.74
_cell_angle_gamma 90.00
_symmetry_space_group_name_H-M 'C 1 2/m 1'
_symmetry_Int_Tables_number 12
loop_
_symmetry_equiv_pos_as_xyz
'x,y,z'
'-x,-y,-z'
'-x,y,-z'
'x,-y,z'
'x+1/2,y+1/2,z'
'-x+1/2,-y+1/2,-z'
'-x+1/2,y+1/2,-z'
'x+1/2,-y+1/2,z'
loop_
_atom_site_label
_atom_site_fract_x
_atom_site_fract_y
_atom_site_fract_z
K1 0.000 0.125 0.000
Rb1 0.000 0.500 0.500
Rb2 0.171 0.000 0.682
Rb3 0.181 0.283 0.708
Hg1 0.170 0.000 0.290
```

[2]
The following is a computed X-ray powder pattern of TbZn11Pt. It was derived from a DFT-relaxed cell (GGA-PBE, Alexandria), using Cu Kα (weighted mean of Kα1 and Kα2).
Neutral-atom scattering factors, no anomalous dispersion.

Top 8 peaks for 10° ≤ 2θ ≤ 80°, by intensity:
| 2theta | d [Å] | I_rel |
| --- | --- | --- |
| 40.22 | 2.242 | 100 |
| 40.54 | 2.225 | 56 |
| 39.79 | 2.265 | 38 |
| 34.93 | 2.569 | 30 |
| 45.01 | 2.014 | 21 |
| 45.47 | 1.995 | 21 |
| 28.43 | 3.140 | 19 |
| 45.71 | 1.985 | 17 |

Crystal structure
```
data_TbZn11Pt
_chemical_formula_sum 'Tb2 Zn22 Pt2'
_cell_length_a 5.231
_cell_length_b 12.630
_cell_length_c 6.761
_cell_angle_alpha 90.00
_cell_angle_beta 111.89
_cell_angle_gamma 90.00
_symmetry_space_group_name_H-M 'C 1 2/m 1'
_symmetry_Int_Tables_number 12
loop_
_symmetry_equiv_pos_as_xyz
'x,y,z'
'-x,-y,-z'
'-x,y,-z'
'x,-y,z'
'x+1/2,y+1/2,z'
'-x+1/2,-y+1/2,-z'
'-x+1/2,y+1/2,-z'
'x+1/2,-y+1/2,z'
loop_
_atom_site_label
_atom_site_fract_x
_atom_site_fract_y
_atom_site_fract_z
Tb1 0.000 0.000 0.000
Zn1 0.000 0.500 0.500
Zn2 0.104 0.391 0.215
Zn3 0.165 0.176 0.354
Zn4 0.250 0.250 0.000
Pt1 0.000 0.000 0.500
```

[3]
The following is a computed X-ray powder pattern of Sc2Zn2O5. It was derived from a DFT-relaxed cell (GGA-PBE, Alexandria), using Cu Kα (weighted mean of Kα1 and Kα2).
Neutral-atom scattering factors, no anomalous dispersion.

Top 8 peaks for 10° ≤ 2θ ≤ 80°, by intensity:
| 2theta | d [Å] | I_rel |
| --- | --- | --- |
| 31.02 | 2.883 | 100 |
| 33.29 | 2.692 | 84 |
| 54.39 | 1.687 | 57 |
| 63.94 | 1.456 | 42 |
| 35.70 | 2.515 | 41 |
| 30.71 | 2.911 | 37 |
| 48.22 | 1.887 | 25 |
| 59.84 | 1.546 | 24 |

Crystal structure
```
data_Sc2Zn2O5
_chemical_formula_sum 'Sc6 Zn6 O15'
_cell_length_a 3.3737
_cell_length_b 3.3737
_cell_length_c 34.6085
_cell_angle_alpha 90.00
_cell_angle_beta 90.00
_cell_angle_gamma 120.00
_symmetry_space_group_name_H-M 'R 3 m'
_symmetry_Int_Tables_number 160
_symmetry_space_group_name_Hall 'R 3 -2"'
loop_
_atom_site_label
_atom_site_fract_x
_atom_site_fract_y
_atom_site_fract_z
Sc1 0.0000 0.0000 0.0000
Sc2 0.0000 0.0000 0.1663
Zn1 0.0000 0.0000 0.5859
Zn2 0.0000 0.0000 0.7471
O1 0.0000 0.0000 0.0624
O2 0.0000 0.0000 0.5286
O3 0.0000 0.0000 0.6670
O4 0.0000 0.0000 0.8045
O5 0.0000 0.0000 0.9380
```

[4]
The following is a computed X-ray powder pattern of AcTb6Dy2Tm. It was derived from a DFT-relaxed cell (GGA-PBE, Alexandria), using Cu Kα (weighted mean of Kα1 and Kα2).
Neutral-atom scattering factors, no anomalous dispersion.

Top 8 peaks for 10° ≤ 2θ ≤ 80°, by intensity:
| 2theta | d [Å] | I_rel |
| --- | --- | --- |
| 30.61 | 2.920 | 100 |
| 30.44 | 2.937 | 52 |
| 30.88 | 2.896 | 41 |
| 34.09 | 2.630 | 38 |
| 28.09 | 3.177 | 36 |
| 31.40 | 2.849 | 32 |
| 32.06 | 2.792 | 22 |
| 28.35 | 3.148 | 21 |

Crystal structure
```
data_AcTb6Dy2Tm
_chemical_formula_sum 'Ac4 Tb24 Dy8 Tm4'
_cell_length_a 9.223
_cell_length_b 15.256
_cell_length_c 9.519
_cell_angle_alpha 90.00
_cell_angle_beta 95.09
_cell_angle_gamma 90.00
_symmetry_space_group_name_H-M 'C 1 2/c 1'
_symmetry_Int_Tables_number 15
loop_
_symmetry_equiv_pos_as_xyz
'x,y,z'
'-x,-y,-z'
'-x,y,-z+1/2'
'x,-y,z+1/2'
'x+1/2,y+1/2,z'
'-x+1/2,-y+1/2,-z'
'-x+1/2,y+1/2,-z+1/2'
'x+1/2,-y+1/2,z+1/2'
loop_
_atom_site_label
_atom_site_fract_x
_atom_site_fract_y
_atom_site_fract_z
Ac1 0.000 0.028 0.250
Tb1 0.059 0.190 0.943
Tb2 0.102 0.390 0.116
Tb3 0.216 0.228 0.317
Dy1 0.239 0.443 0.451
Tm1 0.000 0.413 0.750
```